For MgC8, DFT lattice parameters and positions (GGA-PBE) gives the simulated X-ray diffraction stick pattern in this record (Cu Kα (weighted mean of Kα1 and Kα2)).
Kinematic intensities with the Lorentz-polarization factor, no thermal factor.

Atomic structure:
Cell: 4.450 4.450 12.015 Å, 90.13 90.13 146.40°
Fractional positions:
Mg 0.000 0.000 0.000
C 0.146 0.646 0.713
C 0.250 0.250 0.500
C 0.286 0.714 0.000
C 0.354 0.854 0.287
C 0.646 0.146 0.713
C 0.714 0.286 0.000
C 0.750 0.750 0.500
C 0.854 0.354 0.287

Peak list (12 most intense, 5° ≤ 2θ ≤ 70°, by angle)
| two_theta | I/Imax |
| --- | --- |
| 7.4 | 36 |
| 14.7 | 39 |
| 20.9 | 8 |
| 22.2 | 51 |
| 25.6 | 100 |
| 29.7 | 65 |
| 30.6 | 26 |
| 42.4 | 23 |
| 48.3 | 9 |
| 50.3 | 7 |
| 52.7 | 14 |
| 53.4 | 8 |

---

For Pr8ZnRh3Br4, DFT lattice parameters and positions (GGA-PBE) gives the simulated X-ray diffraction stick pattern in this record (Cu Kα (weighted mean of Kα1 and Kα2)).
Kinematic intensities with the Lorentz-polarization factor, no thermal factor.

Atomic structure:
Cell: 8.418 8.418 9.208 Å, 117.23 117.23 60.01°
Fractional positions:
Pr 0.221 0.739 0.698
Pr 0.234 0.234 0.701
Pr 0.261 0.261 0.302
Pr 0.261 0.779 0.302
Pr 0.739 0.221 0.698
Pr 0.739 0.739 0.698
Pr 0.766 0.766 0.299
Pr 0.779 0.261 0.302
Zn 0.500 0.500 0.500
Rh 0.000 0.000 0.500
Rh 0.000 0.500 0.500
Rh 0.500 0.000 0.500
Br 0.000 0.000 0.000
Br 0.000 0.500 0.000
Br 0.500 0.000 0.000
Br 0.500 0.500 0.000

Peak list (12 most intense, 5° ≤ 2θ ≤ 70°, by angle)
| two_theta | I/Imax |
| --- | --- |
| 11.3 | 17 |
| 25.6 | 6 |
| 28.8 | 100 |
| 31.1 | 7 |
| 36.4 | 12 |
| 39.4 | 30 |
| 43.0 | 37 |
| 49.5 | 9 |
| 52.6 | 18 |
| 56.2 | 7 |
| 59.7 | 9 |
| 65.1 | 7 |